(1)
Ce18C18Cl11: theoretical powder X-ray diffraction pattern (a wavelength of 1.5418 Å), based on a DFT-relaxed cell (GGA-PBE, Alexandria).

Largest 10 diffraction maxima, in order of falling intensity, 15° ≤ 2θ ≤ 90°:
- (1 1 -5), 29.5 deg, intensity 100
- (2 1 -1), 32.7 deg, intensity 87
- (1 0 4), 25.6 deg, intensity 53
- (-2 1 1), 27.4 deg, intensity 46
- (1 1 4), 30.1 deg, intensity 42
- (1 0 -5), 25.7 deg, intensity 38
- (-1 2 4), 30.7 deg, intensity 34
- (0 0 9), 44.0 deg, intensity 34
- (-1 2 6), 37.5 deg, intensity 29
- (1 -2 4), 32.4 deg, intensity 25

Structure:
Unit cell a=6.6610 b=7.5892 c=18.7857 alpha=90.16 beta=99.40 gamma=103.56
Space group P-1 (No. 2)
Asymmetric unit:
1 Ce 0.0000 0.0424 0.2271 x2
2 Ce 0.0901 0.1393 0.4387 x2
3 Ce 0.1296 0.8156 0.9879 x2
4 Ce 0.1700 0.3116 0.6548 x2
5 Ce 0.2635 0.6776 0.2050 x2
6 Ce 0.3049 0.2533 0.9039 x2
7 Ce 0.3690 0.7753 0.4552 x2
8 Ce 0.4311 0.1126 0.1157 x2
9 Ce 0.4531 0.9475 0.6734 x2
10 C 0.0239 0.9928 0.0883 x2
11 C 0.1026 0.8605 0.1275 x2
12 C 0.1671 0.9414 0.3563 x2
13 C 0.1958 0.8200 0.3054 x2
14 C 0.2546 0.1136 0.5765 x2
15 C 0.2935 0.9764 0.5349 x2
16 C 0.3323 0.1842 0.7540 x2
17 C 0.4091 0.0705 0.8038 x2
18 C 0.4610 0.0666 0.9803 x2
19 Cl 0.0000 0.5000 0.5000 x1
20 Cl 0.0672 0.6708 0.6815 x2
21 Cl 0.1622 0.6107 0.8592 x2
22 Cl 0.2824 0.4603 0.0481 x2
23 Cl 0.3912 0.3264 0.2361 x2
24 Cl 0.4750 0.4007 0.4131 x2

=====

(2)
Ce2CN3Cl: theoretical powder X-ray diffraction pattern (a wavelength of 1.5418 Å), based on a DFT-relaxed cell (GGA-PBE, Alexandria).

Largest 10 diffraction maxima, in order of falling intensity, 15° ≤ 2θ ≤ 90°:
- (2 0 1), 29.9 deg, intensity 100
- (2 4 0), 32.9 deg, intensity 81
- (0 4 1), 35.4 deg, intensity 56
- (3 3 1), 42.3 deg, intensity 38
- (1 3 0), 22.1 deg, intensity 34
- (1 1 1), 25.7 deg, intensity 31
- (2 4 2), 58.4 deg, intensity 26
- (4 4 1), 53.3 deg, intensity 26
- (2 2 0), 23.2 deg, intensity 26
- (0 8 0), 54.9 deg, intensity 22

Structure:
Unit cell a=9.3614 b=13.3793 c=3.8803 alpha=90.00 beta=90.00 gamma=90.00
Space group Cmmm (No. 65)
Asymmetric unit:
1 Ce 0.0000 0.1330 0.0000 x4
2 Ce 0.2088 0.5000 0.5000 x4
3 C 0.2500 0.2500 0.5000 x4
4 N 0.1570 0.0000 0.0000 x4
5 N 0.1732 0.1749 0.5000 x8
6 Cl 0.0000 0.3776 0.0000 x4

=====

(3)
CeC2ClO6: theoretical powder X-ray diffraction pattern (a wavelength of 1.5418 Å), based on a DFT-relaxed cell (GGA-PBE, Alexandria).

Largest 10 diffraction maxima, in order of falling intensity, 15° ≤ 2θ ≤ 90°:
- (1 1 0), 15.3 deg, intensity 100
- (2 2 -1), 28.8 deg, intensity 41
- (0 0 2), 25.6 deg, intensity 40
- (2 0 -2), 22.6 deg, intensity 31
- (4 0 -2), 35.7 deg, intensity 30
- (1 1 -2), 24.5 deg, intensity 25
- (4 0 0), 42.7 deg, intensity 16
- (2 0 0), 21.0 deg, intensity 16
- (3 1 -4), 45.3 deg, intensity 15
- (3 3 -1), 43.9 deg, intensity 12

Structure:
Unit cell a=10.0819 b=7.8942 c=8.3052 alpha=90.00 beta=122.93 gamma=90.00
Space group C2/c (No. 15)
Asymmetric unit:
1 Ce 0.0000 0.0392 0.2500 x4
2 C 0.2409 0.3627 0.2534 x8
3 Cl 0.0000 0.3427 0.7500 x4
4 O 0.1352 0.0787 0.5878 x8
5 O 0.1434 0.2618 0.2549 x8
6 O 0.2312 0.4142 0.0999 x8

=====

(4)
CePaCCl: theoretical powder X-ray diffraction pattern (a wavelength of 1.5418 Å), based on a DFT-relaxed cell (GGA-PBE, Alexandria).

Largest 10 diffraction maxima, in order of falling intensity, 15° ≤ 2θ ≤ 90°:
- (2 0 1), 35.8 deg, intensity 100
- (1 1 1), 33.7 deg, intensity 59
- (1 1 0), 29.8 deg, intensity 57
- (0 2 0), 52.5 deg, intensity 29
- (0 0 2), 23.7 deg, intensity 26
- (1 1 3), 50.5 deg, intensity 25
- (4 0 -3), 65.1 deg, intensity 19
- (1 1 -1), 30.6 deg, intensity 17
- (2 2 1), 65.2 deg, intensity 16
- (3 1 1), 58.3 deg, intensity 15

Structure:
Unit cell a=6.0479 b=3.4841 c=7.7857 alpha=90.00 beta=105.03 gamma=90.00
Space group Cm (No. 8)
Asymmetric unit:
1 Ce 0.0000 0.0000 0.0000 x2
2 Pa 0.2955 0.5000 0.3864 x2
3 C 0.4007 0.0000 0.2022 x2
4 Cl 0.2293 0.0000 0.6893 x2